Record 1
Structure and calculated XRD peak list of Ba2Np3ScO12 (a crystal structure in Alexandria, relaxed with GGA-PBE; CuKα).
Intensities are scaled so that the largest is 1000.

Structure:
```
Ba2Np3ScO12
1.0
3.9981 2.3083 6.0532
-3.9981 2.3083 6.0532
0.0000 -4.6166 6.0532
Ba Np Sc O
2 3 1 12
direct
0.1777 0.1777 0.1777
0.8223 0.8223 0.8223
0.0000 0.5000 0.5000
0.5000 0.0000 0.5000
0.5000 0.5000 0.0000
0.5000 0.5000 0.5000
0.1778 0.1778 0.5406
0.1778 0.5406 0.1778
0.1796 0.5683 0.5683
0.4317 0.4317 0.8204
0.4317 0.8204 0.4317
0.4594 0.8222 0.8222
0.5406 0.1778 0.1778
0.5683 0.1796 0.5683
0.5683 0.5683 0.1796
0.8204 0.4317 0.4317
0.8222 0.4594 0.8222
0.8222 0.8222 0.4594
```

Largest 12 diffraction maxima, by angle, 10 to 90 degrees two-theta:
2θ (°)	d (Å)	I (rel.)
13.69	6.470	355
14.63	6.053	385
16.10	5.506	683
26.20	3.401	1000
26.72	3.336	924
27.57	3.235	508
29.51	3.027	365
32.52	2.753	271
35.83	2.506	485
41.88	2.157	433
45.37	1.999	441
55.05	1.668	408



Record 2
Structure and calculated XRD peak list of Ba2NpTaO6 (a crystal structure in Alexandria, relaxed with GGA-PBE; CuKα).
Intensities are scaled so that the largest is 1000.

Structure:
```
Ba2NpTaO6
1.0
4.2817 0.0000 0.0000
0.0000 4.2817 0.0000
0.0000 0.0000 8.6511
Ba Np Ta O
2 1 1 6
direct
0.0000 0.0000 0.2340
0.0000 0.0000 0.7660
0.5000 0.5000 0.5000
0.5000 0.5000 0.0000
0.0000 0.5000 0.0000
0.0000 0.5000 0.5000
0.5000 0.0000 0.0000
0.5000 0.0000 0.5000
0.5000 0.5000 0.2308
0.5000 0.5000 0.7692
```

Largest 12 diffraction maxima, by angle, 10 to 90 degrees two-theta:
2θ (°)	d (Å)	I (rel.)
20.75	4.282	93
29.35	3.043	1000
29.50	3.028	500
41.76	2.163	133
42.21	2.141	275
51.96	1.760	198
52.25	1.751	414
60.89	1.521	170
69.37	1.355	183
84.03	1.152	100
84.40	1.148	104
84.64	1.145	118



Record 3
Structure and calculated XRD peak list of BaNp3Tl4O12 (a crystal structure in Alexandria, relaxed with GGA-PBE; CuKα).
Intensities are scaled so that the largest is 1000.

Structure:
```
BaNp3Tl4O12
1.0
-4.4570 4.4570 4.4570
4.4570 -4.4570 4.4570
4.4570 4.4570 -4.4570
Ba Np Tl O
1 3 4 12
direct
0.0000 0.0000 0.0000
0.0000 0.5000 0.5000
0.5000 0.0000 0.5000
0.5000 0.5000 0.0000
0.0000 0.0000 0.5000
0.0000 0.5000 0.0000
0.5000 0.0000 0.0000
0.5000 0.5000 0.5000
0.0000 0.2867 0.2867
0.0000 0.7133 0.7133
0.2500 0.5000 0.7500
0.2500 0.7500 0.5000
0.2867 0.0000 0.2867
0.2867 0.2867 0.0000
0.5000 0.2500 0.7500
0.5000 0.7500 0.2500
0.7133 0.0000 0.7133
0.7133 0.7133 0.0000
0.7500 0.2500 0.5000
0.7500 0.5000 0.2500
```

Largest 12 diffraction maxima, by angle, 10 to 90 degrees two-theta:
2θ (°)	d (Å)	I (rel.)
14.05	6.303	27
24.46	3.639	14
28.32	3.152	1000
37.76	2.382	5
40.48	2.229	261
50.13	1.820	427
52.33	1.748	6
58.58	1.576	172
66.32	1.409	196
73.62	1.287	57
80.66	1.191	229
87.56	1.114	28